BaFe2SbO8: calculated powder X-ray diffraction pattern (Cu Kα X-rays), based on a GGA+U-relaxed structure.
No peak broadening, texture or thermal motion is included.

Structure:
```
data_BaFe2SbO8
_chemical_formula_sum 'Ba1 Fe2 Sb1 O8'
_cell_length_a 5.3705
_cell_length_b 5.3705
_cell_length_c 7.4493
_cell_angle_alpha 90.00
_cell_angle_beta 90.00
_cell_angle_gamma 120.00
_space_group_name_H-M_alt 'P -3'
_space_group_IT_number 147
loop_
_space_group_symop_operation_xyz
'x,y,z'
'-x,-y,-z'
'-y,x-y,z'
'y,-x+y,-z'
'-x+y,-x,z'
'x-y,x,-z'
loop_
_atom_site_label
_atom_site_type_symbol
_atom_site_fract_x
_atom_site_fract_y
_atom_site_fract_z
Ba1 Ba 0.0000 0.0000 0.0000
Fe1 Fe 0.3333 0.6667 0.7179
Sb1 Sb 0.0000 0.0000 0.5000
O1 O 0.0331 0.3091 0.6643
O2 O 0.3333 0.6667 0.9484
```

The 12 most intense peaks (2θ from 15° to 90°), low angle first:
| two_theta | I_rel |
| --- | --- |
| 19.08 | 71.1 |
| 22.54 | 38.5 |
| 30.75 | 100.0 |
| 33.37 | 62.6 |
| 41.46 | 21.4 |
| 46.01 | 36.3 |
| 52.96 | 13.1 |
| 58.02 | 35.0 |
| 59.64 | 18.1 |
| 60.50 | 22.4 |
| 74.18 | 10.4 |
| 78.46 | 13.3 |